1.
Diffraction record for Zr6Ru7. The powder diffraction line list is simulated, not measured: it uses a crystal structure in Alexandria, relaxed with GGA-PBE and Cu Ka.
Kinematic intensities with the Lorentz-polarization factor, no thermal factor.

Most intense lines, 10 to 90 degrees two-theta, most intense first:
| h k l | 2theta | intensity |
| --- | --- | --- |
| 1 1 6 | 38.92 | 100 |
| 2 0 5 | 42.42 | 68 |
| 0 2 1 | 39.29 | 52 |
| 0 1 11 | 40.18 | 51 |
| 1 0 10 | 37.32 | 49 |
| 1 1 0 | 33.74 | 45 |
| 2 2 0 | 70.96 | 39 |
| 0 0 12 | 38.19 | 31 |

Structure:
a = 5.3126 Å, b = 5.3126 Å, c = 28.2796 Å
α = 90.00°, β = 90.00°, γ = 120.00°
Space group R-3m (No. 166, hexagonal axes)
One atom of each set of equivalent atoms:
1 Zr 0.0000 0.0000 0.0516 [6 per cell]
2 Zr 0.0000 0.0000 0.1547 [6 per cell]
3 Zr 0.0000 0.0000 0.3342 [6 per cell]
4 Ru 0.0000 0.0000 0.5000 [3 per cell]
5 Ru 0.0041 0.5020 0.9085 [18 per cell]

---

2.
Diffraction record for Zr4Ru3. The powder diffraction line list is simulated, not measured: it uses a crystal structure in Alexandria, relaxed with GGA-PBE and Cu Ka.
Kinematic intensities with the Lorentz-polarization factor, no thermal factor.

Most intense lines, 10 to 90 degrees two-theta, most intense first:
| h k l | 2theta | intensity |
| --- | --- | --- |
| 2 0 0 | 39.08 | 100 |
| 2 0 1 | 42.76 | 56 |
| 1 1 1 | 37.80 | 39 |
| 0 0 2 | 33.68 | 35 |
| 2 1 2 | 63.86 | 29 |
| 4 0 0 | 83.98 | 25 |
| 2 2 0 | 70.82 | 23 |
| 1 1 3 | 62.96 | 18 |

Structure:
a = 5.3208 Å, b = 5.3208 Å, c = 5.3257 Å
α = 90.00°, β = 90.00°, γ = 120.00°
Space group P6/mmm (No. 191)
One atom of each set of equivalent atoms:
1 Zr 0.0000 0.0000 0.2461 [2 per cell]
2 Zr 0.3333 0.6667 0.5000 [2 per cell]
3 Ru 0.0000 0.5000 0.0000 [3 per cell]

---

3.
Diffraction record for S. The powder diffraction line list is simulated, not measured: it uses a crystal structure in Alexandria, relaxed with GGA-PBE and Cu Ka.
Kinematic intensities with the Lorentz-polarization factor, no thermal factor.

Most intense lines, 10 to 90 degrees two-theta, most intense first:
| h k l | 2theta | intensity |
| --- | --- | --- |
| 2 2 1 | 25.00 | 100 |
| 2 2 -2 | 26.44 | 93 |
| 0 0 2 | 19.81 | 88 |
| 1 1 1 | 15.70 | 85 |
| 3 1 -1 | 21.79 | 72 |
| 0 4 3 | 44.84 | 30 |
| 0 2 2 | 25.66 | 28 |
| 3 1 0 | 22.10 | 27 |

Structure:
a = 13.4815 Å, b = 10.9819 Å, c = 9.3158 Å
α = 90.00°, β = 105.85°, γ = 90.00°
Space group C2/c (No. 15)
One atom of each set of equivalent atoms:
1 S 0.0713 0.0465 0.2313 [8 per cell]
2 S 0.0708 0.4466 0.7297 [8 per cell]
3 S 0.0759 0.1885 0.0847 [8 per cell]
4 S 0.1576 0.4116 0.3505 [8 per cell]
5 S 0.1951 0.2999 0.1955 [8 per cell]